1.
ZnSb2O5: theoretical PXRD pattern (a wavelength of 1.5418 Å), based on a DFT-relaxed cell (GGA-PBE, the Materials Project).
Neutral-atom scattering factors, no anomalous dispersion.

Structure:
Cell: 5.4720 5.4720 13.2953 Å, 90.00 90.00 137.34°
Fractional positions:
1 Zn 0.0834 0.9166 0.7500
2 Zn 0.9166 0.0834 0.2500
3 Sb 0.2068 0.7932 0.1073
4 Sb 0.2068 0.7932 0.3927
5 Sb 0.7932 0.2068 0.6073
6 Sb 0.7932 0.2068 0.8927
7 O 0.0249 0.9751 0.1321
8 O 0.0249 0.9751 0.3679
9 O 0.2476 0.7524 0.5838
10 O 0.2476 0.7524 0.9162
11 O 0.3026 0.6974 0.2500
12 O 0.6974 0.3026 0.7500
13 O 0.7524 0.2476 0.0838
14 O 0.7524 0.2476 0.4162
15 O 0.9751 0.0249 0.6321
16 O 0.9751 0.0249 0.8679

Principal peaks in the range 2θ from 5° to 70°, by angle:
| Position (°2θ) | I (rel.) |
| --- | --- |
| 17.4 | 97 |
| 24.0 | 63 |
| 24.9 | 59 |
| 26.7 | 71 |
| 26.8 | 32 |
| 31.5 | 100 |
| 32.1 | 45 |
| 35.4 | 45 |
| 45.6 | 34 |
| 57.9 | 41 |

---

2.
Li4CO4: theoretical PXRD pattern (a wavelength of 1.5418 Å), based on a DFT-relaxed cell (GGA-PBE, the Materials Project).
Neutral-atom scattering factors, no anomalous dispersion.

Structure:
Cell: 4.9662 4.9662 4.9662 Å, 129.42 129.42 74.34°
Fractional positions:
1 Li 0.0565 0.6576 0.0000
2 Li 0.3424 0.3424 0.3988
3 Li 0.6576 0.0565 0.0000
4 Li 0.9435 0.9435 0.6012
5 C 0.5000 0.5000 0.0000
6 O 0.2022 0.2022 0.6162
7 O 0.4140 0.7978 0.0000
8 O 0.5860 0.5860 0.3838
9 O 0.7978 0.4140 0.0000

Principal peaks in the range 2θ from 5° to 70°, by angle:
| Position (°2θ) | I (rel.) |
| --- | --- |
| 22.5 | 22 |
| 23.8 | 100 |
| 29.8 | 17 |
| 37.6 | 58 |
| 42.6 | 37 |
| 45.9 | 21 |
| 49.4 | 34 |
| 55.6 | 11 |
| 60.1 | 25 |
| 64.4 | 24 |

---

3.
Rb2Pd3S4: theoretical PXRD pattern (a wavelength of 1.5418 Å), based on a DFT-relaxed cell (GGA-PBE, the Materials Project).
Neutral-atom scattering factors, no anomalous dispersion.

Structure:
Cell: 14.7474 14.0434 6.3086 Å, 83.67 71.17 25.16°
Fractional positions:
1 Rb 0.0467 0.0467 0.2033
2 Rb 0.2033 0.2033 0.0467
3 Rb 0.7967 0.7967 0.9533
4 Rb 0.9533 0.9533 0.7967
5 Pd 0.1257 0.1257 0.6243
6 Pd 0.3750 0.3750 0.3750
7 Pd 0.3757 0.3757 0.8743
8 Pd 0.6243 0.6243 0.1257
9 Pd 0.6250 0.6250 0.6250
10 Pd 0.8743 0.8743 0.3757
11 S 0.1571 0.4809 0.2608
12 S 0.2608 0.6012 0.1571
13 S 0.3988 0.7392 0.5191
14 S 0.4809 0.1571 0.6012
15 S 0.5191 0.8429 0.3988
16 S 0.6012 0.2608 0.4809
17 S 0.7392 0.3988 0.8429
18 S 0.8429 0.5191 0.7392

Principal peaks in the range 2θ from 5° to 70°, by angle:
| Position (°2θ) | I (rel.) |
| --- | --- |
| 12.9 | 100 |
| 23.1 | 35 |
| 25.4 | 31 |
| 32.7 | 44 |
| 33.0 | 49 |
| 34.8 | 27 |
| 35.6 | 26 |
| 36.6 | 27 |
| 52.4 | 36 |
| 58.5 | 19 |

---

4.
ZnSeO10: theoretical PXRD pattern (a wavelength of 1.5418 Å), based on a DFT-relaxed cell (GGA-PBE, the Materials Project).
Neutral-atom scattering factors, no anomalous dispersion.

Structure:
Cell: 7.9532 7.9532 13.8826 Å, 90.00 90.00 90.00°
Fractional positions:
1 Zn 0.1183 0.1183 0.0000
2 Zn 0.3817 0.6183 0.2500
3 Zn 0.6183 0.3817 0.7500
4 Zn 0.8817 0.8817 0.5000
5 Se 0.2092 0.7908 0.7500
6 Se 0.2908 0.2908 0.5000
7 Se 0.7092 0.7092 0.0000
8 Se 0.7908 0.2092 0.2500
9 O 0.0209 0.2361 0.1019
10 O 0.0894 0.8185 0.1577
11 O 0.0960 0.3494 0.5102
12 O 0.1052 0.8791 0.6378
13 O 0.1209 0.8948 0.8622
14 O 0.1320 0.8269 0.4123
15 O 0.1506 0.5960 0.7602
16 O 0.1731 0.8680 0.0877
17 O 0.1815 0.9106 0.3423
18 O 0.2361 0.0209 0.8981
19 O 0.2639 0.5209 0.3519
20 O 0.3185 0.4106 0.9077
21 O 0.3269 0.3680 0.1623
22 O 0.3494 0.0960 0.4898
23 O 0.3680 0.3269 0.8377
24 O 0.3791 0.3948 0.3878
25 O 0.3948 0.3791 0.6122
26 O 0.4040 0.8494 0.7398
27 O 0.4106 0.3185 0.0923
28 O 0.4791 0.7361 0.1481
29 O 0.5209 0.2639 0.6481
30 O 0.5894 0.6815 0.5923
31 O 0.5960 0.1506 0.2398
32 O 0.6052 0.6209 0.1122
33 O 0.6209 0.6052 0.8878
34 O 0.6320 0.6731 0.3377
35 O 0.6506 0.9040 0.9898
36 O 0.6731 0.6320 0.6623
37 O 0.6815 0.5894 0.4077
38 O 0.7361 0.4791 0.8519
39 O 0.7639 0.9791 0.3981
40 O 0.8185 0.0894 0.8423
41 O 0.8269 0.1320 0.5877
42 O 0.8494 0.4040 0.2602
43 O 0.8680 0.1731 0.9123
44 O 0.8791 0.1052 0.3622
45 O 0.8948 0.1209 0.1378
46 O 0.9040 0.6506 0.0102
47 O 0.9106 0.1815 0.6577
48 O 0.9791 0.7639 0.6019

Principal peaks in the range 2θ from 5° to 70°, by angle:
| Position (°2θ) | I (rel.) |
| --- | --- |
| 15.8 | 33 |
| 17.0 | 52 |
| 20.3 | 100 |
| 23.3 | 24 |
| 25.9 | 41 |
| 29.6 | 18 |
| 31.7 | 30 |
| 40.8 | 19 |
| 41.3 | 15 |
| 48.9 | 21 |

---

5.
Cd2C9Br7N3: theoretical PXRD pattern (a wavelength of 1.5418 Å), based on a DFT-relaxed cell (GGA-PBE, the Materials Project).
Neutral-atom scattering factors, no anomalous dispersion.

Structure:
Cell: 12.1996 12.1996 7.3136 Å, 90.00 90.00 120.00°
Fractional positions:
1 Cd 0.0000 0.0000 0.0000
2 Cd 0.0000 0.0000 0.5000
3 Cd 0.3333 0.6667 0.3663
4 Cd 0.6667 0.3333 0.8663
5 C 0.1463 0.4061 0.9637
6 C 0.1463 0.7402 0.9637
7 C 0.2011 0.4022 0.6145
8 C 0.2011 0.7989 0.6145
9 C 0.2598 0.4061 0.9637
10 C 0.2598 0.8537 0.9637
11 C 0.4022 0.2011 0.1145
12 C 0.4061 0.1463 0.4637
13 C 0.4061 0.2598 0.4637
14 C 0.5939 0.7402 0.9637
15 C 0.5939 0.8537 0.9637
16 C 0.5978 0.7989 0.6145
17 C 0.7402 0.1463 0.4637
18 C 0.7402 0.5939 0.4637
19 C 0.7989 0.2011 0.1145
20 C 0.7989 0.5978 0.1145
21 C 0.8537 0.2598 0.4637
22 C 0.8537 0.5939 0.4637
23 Br 0.0999 0.1998 0.2488
24 Br 0.0999 0.9001 0.2488
25 Br 0.1072 0.5536 0.5181
26 Br 0.1998 0.0999 0.7488
27 Br 0.3333 0.6667 0.0012
28 Br 0.4464 0.5536 0.5181
29 Br 0.4464 0.8928 0.5181
30 Br 0.5536 0.1072 0.0181
31 Br 0.5536 0.4464 0.0181
32 Br 0.6667 0.3333 0.5012
33 Br 0.8002 0.9001 0.2488
34 Br 0.8928 0.4464 0.0181
35 Br 0.9001 0.0999 0.7488
36 Br 0.9001 0.8002 0.7488
37 N 0.1984 0.3968 0.7829
38 N 0.1984 0.8016 0.7829
39 N 0.3968 0.1984 0.2829
40 N 0.6032 0.8016 0.7829
41 N 0.8016 0.1984 0.2829
42 N 0.8016 0.6032 0.2829

Principal peaks in the range 2θ from 5° to 70°, by angle:
| Position (°2θ) | I (rel.) |
| --- | --- |
| 14.5 | 100 |
| 25.4 | 63 |
| 28.1 | 50 |
| 29.3 | 22 |
| 29.7 | 25 |
| 36.2 | 24 |
| 39.1 | 23 |
| 39.4 | 33 |
| 43.5 | 20 |
| 44.6 | 45 |

---

6.
SrCaPrSbO6: theoretical PXRD pattern (a wavelength of 1.5418 Å), based on a DFT-relaxed cell (GGA-PBE, the Materials Project).
Neutral-atom scattering factors, no anomalous dispersion.

Structure:
Cell: 6.0591 6.0591 6.0591 Å, 60.00 60.00 60.00°
Fractional positions:
1 Sr 0.0000 0.0000 0.0000
2 Ca 0.5000 0.5000 0.5000
3 Pr 0.2500 0.2500 0.2500
4 Sb 0.7500 0.7500 0.7500
5 O 0.5178 0.5178 0.9822
6 O 0.5178 0.9822 0.5178
7 O 0.5178 0.9822 0.9822
8 O 0.9822 0.5178 0.5178
9 O 0.9822 0.5178 0.9822
10 O 0.9822 0.9822 0.5178

Principal peaks in the range 2θ from 5° to 70°, by angle:
| Position (°2θ) | I (rel.) |
| --- | --- |
| 17.9 | 3 |
| 20.7 | 26 |
| 29.5 | 100 |
| 34.7 | 3 |
| 42.2 | 34 |
| 47.4 | 11 |
| 52.3 | 40 |
| 61.2 | 20 |
| 65.3 | 5 |
| 69.4 | 18 |

---

7.
Li2TiP5O15: theoretical PXRD pattern (a wavelength of 1.5418 Å), based on a DFT-relaxed cell (GGA-PBE, the Materials Project).
Neutral-atom scattering factors, no anomalous dispersion.

Structure:
Cell: 5.3331 9.6216 13.3258 Å, 90.00 109.01 90.00°
Fractional positions:
1 Li 0.0000 0.0894 0.0000
2 Li 0.0000 0.9106 0.5000
3 Li 0.8790 0.1031 0.6342
4 Li 0.8790 0.8969 0.1342
5 Ti 0.9541 0.4953 0.5769
6 Ti 0.9541 0.5047 0.0769
7 P 0.3588 0.3155 0.4858
8 P 0.3588 0.6845 0.9858
9 P 0.4158 0.0200 0.4286
10 P 0.4158 0.9800 0.9286
11 P 0.4600 0.0227 0.2101
12 P 0.4600 0.9773 0.7101
13 P 0.5463 0.3233 0.1659
14 P 0.5463 0.6767 0.6659
15 P 0.9618 0.4872 0.3269
16 P 0.9618 0.5128 0.8269
17 O 0.1820 0.0061 0.1355
18 O 0.1820 0.9939 0.6355
19 O 0.2177 0.3603 0.5627
20 O 0.2178 0.3853 0.3708
21 O 0.2178 0.6147 0.8708
22 O 0.2177 0.6397 0.0627
23 O 0.2197 0.0943 0.9146
24 O 0.2197 0.9057 0.4146
25 O 0.2566 0.3577 0.1393
26 O 0.2566 0.6423 0.6393
27 O 0.2850 0.1569 0.4646
28 O 0.2850 0.8431 0.9646
29 O 0.4335 0.0794 0.3192
30 O 0.4335 0.9206 0.8192
31 O 0.5950 0.1616 0.1780
32 O 0.5950 0.8384 0.6780
33 O 0.6537 0.3398 0.5195
34 O 0.6537 0.6602 0.0195
35 O 0.6557 0.0913 0.7228
36 O 0.6557 0.9087 0.2228
37 O 0.6822 0.3719 0.0882
38 O 0.6822 0.6281 0.5882
39 O 0.6935 0.0044 0.5030
40 O 0.6935 0.9956 0.0030
41 O 0.7122 0.3812 0.2828
42 O 0.7122 0.6188 0.7828
43 O 0.9285 0.4384 0.9213
44 O 0.9285 0.5616 0.4213
45 O 0.9933 0.4333 0.7345
46 O 0.9933 0.5667 0.2345

Principal peaks in the range 2θ from 5° to 70°, by angle:
| Position (°2θ) | I (rel.) |
| --- | --- |
| 9.2 | 15 |
| 11.6 | 71 |
| 18.4 | 57 |
| 19.9 | 100 |
| 23.0 | 28 |
| 23.1 | 17 |
| 28.1 | 36 |
| 29.8 | 32 |
| 33.1 | 34 |
| 33.8 | 17 |

---

8.
ScAgSe2: theoretical PXRD pattern (a wavelength of 1.5418 Å), based on a DFT-relaxed cell (GGA-PBE, the Materials Project).
Neutral-atom scattering factors, no anomalous dispersion.

Structure:
Cell: 4.0334 6.7793 13.3284 Å, 90.00 90.00 90.00°
Fractional positions:
1 Sc 0.2258 0.2102 0.3712
2 Sc 0.2742 0.7898 0.8712
3 Sc 0.7258 0.2898 0.6288
4 Sc 0.7742 0.7102 0.1288
5 Ag 0.0018 0.7052 0.3764
6 Ag 0.4982 0.2948 0.8764
7 Ag 0.5018 0.7948 0.6236
8 Ag 0.9982 0.2052 0.1236
9 Se 0.2189 0.0895 0.7266
10 Se 0.2315 0.4743 0.5287
11 Se 0.2685 0.5257 0.0287
12 Se 0.2811 0.9105 0.2266
13 Se 0.7189 0.4105 0.2734
14 Se 0.7315 0.0257 0.4713
15 Se 0.7685 0.9743 0.9713
16 Se 0.7811 0.5895 0.7734

Principal peaks in the range 2θ from 5° to 70°, by angle:
| Position (°2θ) | I (rel.) |
| --- | --- |
| 23.0 | 14 |
| 29.0 | 100 |
| 29.9 | 26 |
| 33.2 | 22 |
| 35.2 | 13 |
| 37.9 | 39 |
| 40.2 | 13 |
| 46.7 | 13 |
| 47.5 | 13 |
| 48.7 | 12 |

---

9.
Al2Pd: theoretical PXRD pattern (a wavelength of 1.5418 Å), based on a DFT-relaxed cell (GGA-PBE, the Materials Project).
Neutral-atom scattering factors, no anomalous dispersion.

Structure:
Cell: 4.2034 4.2034 4.2034 Å, 60.00 60.00 60.00°
Fractional positions:
1 Al 0.2500 0.2500 0.2500
2 Al 0.7500 0.7500 0.7500
3 Pd 0.0000 0.0000 0.0000

Principal peaks in the range 2θ from 5° to 70°, by angle:
| Position (°2θ) | I (rel.) |
| --- | --- |
| 26.0 | 100 |
| 30.1 | 13 |
| 43.0 | 85 |
| 51.0 | 46 |
| 53.4 | 3 |
| 62.5 | 14 |
| 68.8 | 18 |

---

What did the fifth record say?
Cd2C9Br7N3: theoretical PXRD pattern (a wavelength of 1.5418 Å), based on a DFT-relaxed cell (GGA-PBE, the Materials Project).
Neutral-atom scattering factors, no anomalous dispersion.

Structure:
Cell: 12.1996 12.1996 7.3136 Å, 90.00 90.00 120.00°
Fractional positions:
1 Cd 0.0000 0.0000 0.0000
2 Cd 0.0000 0.0000 0.5000
3 Cd 0.3333 0.6667 0.3663
4 Cd 0.6667 0.3333 0.8663
5 C 0.1463 0.4061 0.9637
6 C 0.1463 0.7402 0.9637
7 C 0.2011 0.4022 0.6145
8 C 0.2011 0.7989 0.6145
9 C 0.2598 0.4061 0.9637
10 C 0.2598 0.8537 0.9637
11 C 0.4022 0.2011 0.1145
12 C 0.4061 0.1463 0.4637
13 C 0.4061 0.2598 0.4637
14 C 0.5939 0.7402 0.9637
15 C 0.5939 0.8537 0.9637
16 C 0.5978 0.7989 0.6145
17 C 0.7402 0.1463 0.4637
18 C 0.7402 0.5939 0.4637
19 C 0.7989 0.2011 0.1145
20 C 0.7989 0.5978 0.1145
21 C 0.8537 0.2598 0.4637
22 C 0.8537 0.5939 0.4637
23 Br 0.0999 0.1998 0.2488
24 Br 0.0999 0.9001 0.2488
25 Br 0.1072 0.5536 0.5181
26 Br 0.1998 0.0999 0.7488
27 Br 0.3333 0.6667 0.0012
28 Br 0.4464 0.5536 0.5181
29 Br 0.4464 0.8928 0.5181
30 Br 0.5536 0.1072 0.0181
31 Br 0.5536 0.4464 0.0181
32 Br 0.6667 0.3333 0.5012
33 Br 0.8002 0.9001 0.2488
34 Br 0.8928 0.4464 0.0181
35 Br 0.9001 0.0999 0.7488
36 Br 0.9001 0.8002 0.7488
37 N 0.1984 0.3968 0.7829
38 N 0.1984 0.8016 0.7829
39 N 0.3968 0.1984 0.2829
40 N 0.6032 0.8016 0.7829
41 N 0.8016 0.1984 0.2829
42 N 0.8016 0.6032 0.2829

Principal peaks in the range 2θ from 5° to 70°, by angle:
| Position (°2θ) | I (rel.) |
| --- | --- |
| 14.5 | 100 |
| 25.4 | 63 |
| 28.1 | 50 |
| 29.3 | 22 |
| 29.7 | 25 |
| 36.2 | 24 |
| 39.1 | 23 |
| 39.4 | 33 |
| 43.5 | 20 |
| 44.6 | 45 |

---

Number 4 is which compound? ZnSeO10

---

Number 8 is which compound? ScAgSe2